(1)
Structure and theoretical PXRD pattern of Sc2P3Pb2 (the PBE geometry in Alexandria; a wavelength of 1.5418 Å).

Most intense lines, 10° ≤ 2θ ≤ 90°, by angle:
d_spacing  2θ (°)  I_rel
6.018  14.72  29.4
4.261  20.85  36.8
3.778  23.55  40.9
3.478  25.62  55.6
3.038  29.40  71.5
2.827  31.65  93.0
2.474  36.32  100.0
2.131  42.43  26.6
2.006  45.19  32.3
1.815  50.27  28.4
1.744  52.46  29.5
1.461  63.72  20.1

Structural model:
abc: 7.5557 9.9530 4.2610
angles: 90.00 90.00 90.00
Fractional positions:
1 Sc 0.1498 0.1001 0.0000
2 Sc 0.3502 0.6001 0.0000
3 Sc 0.6498 0.3999 0.0000
4 Sc 0.8502 0.8999 0.0000
5 P 0.0000 0.0000 0.5000
6 P 0.2379 0.8460 0.0000
7 P 0.2621 0.3460 0.0000
8 P 0.5000 0.5000 0.5000
9 P 0.7379 0.6540 0.0000
10 P 0.7621 0.1540 0.0000
11 Pb 0.0149 0.3340 0.5000
12 Pb 0.4851 0.8340 0.5000
13 Pb 0.5149 0.1660 0.5000
14 Pb 0.9851 0.6660 0.5000

---

(2)
Structure and theoretical PXRD pattern of Tm2Sc2PPb2 (the PBE geometry in Alexandria; a wavelength of 1.5418 Å).

Most intense lines, 10° ≤ 2θ ≤ 90°, by angle:
d_spacing  2θ (°)  I_rel
3.975  22.37  28.5
3.407  26.16  100.0
3.131  28.50  28.2
2.652  33.79  54.0
2.587  34.68  78.7
2.409  37.33  63.7
2.092  43.25  21.8
2.060  43.95  21.2
1.783  51.23  46.2
1.703  53.82  22.2
1.524  60.79  20.2
1.423  65.62  25.0

Structural model:
abc: 8.6488 8.6488 8.6488
angles: 147.65 147.65 46.40
Fractional positions:
1 Tm 0.1675 0.1675 0.0000
2 Tm 0.8325 0.8325 0.0000
3 Sc 0.0000 0.5000 0.5000
4 Sc 0.5000 0.0000 0.5000
5 P 0.0000 0.0000 0.0000
6 Pb 0.3643 0.3643 0.0000
7 Pb 0.6357 0.6357 0.0000

---

(3)
Structure and theoretical PXRD pattern of PPb2Se2 (the PBE geometry in Alexandria; a wavelength of 1.5418 Å).

Most intense lines, 10° ≤ 2θ ≤ 90°, by angle:
d_spacing  2θ (°)  I_rel
4.114  21.60  29.3
3.874  22.96  8.6
2.973  30.06  21.4
2.849  31.40  21.0
2.820  31.73  100.0
2.358  38.16  11.9
2.057  44.03  16.5
1.937  46.91  10.6
1.685  54.44  12.8
1.639  56.11  16.7
1.601  57.55  9.9
1.410  66.29  9.9

Structural model:
abc: 5.9455 11.3946 3.8736
angles: 90.00 90.00 90.00
Fractional positions:
1 P 0.0000 0.0000 0.0000
2 P 0.5000 0.5000 0.0000
3 Pb 0.2318 0.3596 0.5000
4 Pb 0.2682 0.8596 0.5000
5 Pb 0.7318 0.1404 0.5000
6 Pb 0.7682 0.6404 0.5000
7 Se 0.1761 0.6465 0.0000
8 Se 0.3239 0.1465 0.0000
9 Se 0.6761 0.8535 0.0000
10 Se 0.8239 0.3535 0.0000